No. 1
# MgMn6O11F
Computed X-ray diffraction stick pattern, Cu Kα, 1.54184 Å. Input: a structure optimized by DFT (PBE+U).
No peak broadening, texture or thermal motion is included.

```
19
Lattice="2.9582 0.0000 0.0000 0.0192 6.3894 0.0000 0.2604 2.7003 11.2607" Properties=species:S:1:pos:R:3 pbc="T T T"
Mg 0.0000 0.0000 0.0000
Mn 1.4492 1.3249 5.5236
Mn 1.6176 4.5810 8.8384
Mn 1.4817 4.4048 2.4046
Mn 3.0086 7.7294 8.6729
Mn 2.9707 4.5168 5.5976
Mn 2.9468 1.2703 2.3118
O 1.4846 7.8371 7.4836
O 1.5042 4.4595 6.8423
O 1.4900 4.5675 4.3604
O 1.4671 1.1683 3.5158
O 1.4667 1.1667 0.9244
O 2.9564 6.4771 5.6372
O 2.9426 2.5594 5.4116
O 3.0965 5.8233 9.0386
O 3.1096 3.3156 9.2834
O 2.9577 3.1810 2.1805
O 2.9639 5.6394 1.9582
F 1.7711 7.8622 10.5368
```

Principal peaks in the range 2θ from 10° to 80°, sorted by position:
2θ (°)	I_rel
23.7	100
28.0	92
28.7	30
31.8	45
35.1	29
35.5	54
36.0	22
56.5	23
57.8	22
62.8	21



No. 2
# MgNb2V2O8
Computed X-ray diffraction stick pattern, Cu Kα, 1.54184 Å. Input: a structure optimized by DFT (PBE+U).
No peak broadening, texture or thermal motion is included.

```
13
Lattice="4.7512 -3.1428 0.0000 4.7512 3.1428 0.0000 -4.5814 0.0000 5.0255" Properties=species:S:1:pos:R:3 pbc="T T T"
Mg 0.0000 0.0000 0.0000
Nb 2.8144 0.0031 0.2368
Nb 2.1065 0.0031 4.7886
V 0.0910 1.5704 2.5120
V 4.8299 1.5704 2.5134
O 3.3797 1.7886 0.8465
O 1.2112 -0.0069 1.5600
O 1.5412 1.7886 4.1790
O -0.6602 0.0037 3.6983
O 5.5811 0.0037 1.3271
O 3.3888 -1.7815 0.8400
O 3.7098 -0.0069 3.4655
O 1.5321 -1.7815 4.1855
```

Principal peaks in the range 2θ from 10° to 80°, sorted by position:
2θ (°)	I_rel
17.6	58
25.4	71
26.3	100
32.6	45
33.6	100
34.2	55
41.2	60
50.8	40
52.1	37
54.0	24



No. 3
# BaSrGdVO6
Computed X-ray diffraction stick pattern, Cu Kα, 1.54184 Å. Input: a structure optimized by DFT (PBE+U).
No peak broadening, texture or thermal motion is included.

```
10
Lattice="0.0000 4.1711 4.1711 4.1711 0.0000 4.1711 4.1711 4.1711 0.0000" Properties=species:S:1:pos:R:3 pbc="T T T"
Ba 0.0000 0.0000 0.0000
Sr 4.1711 4.1711 4.1711
Gd 6.2567 6.2567 6.2567
V 2.0856 2.0856 2.0856
O 2.0856 2.0856 0.1731
O 2.0856 0.1731 2.0856
O 3.9981 2.0856 2.0856
O 0.1731 2.0856 2.0856
O 2.0856 3.9981 2.0856
O 2.0856 2.0856 3.9981
```

Principal peaks in the range 2θ from 10° to 80°, sorted by position:
2θ (°)	I_rel
18.4	14
30.3	100
35.7	11
43.4	32
47.5	7
53.8	39
57.4	3
63.0	19
71.5	18
79.6	6



No. 4
# Li3CrSiO5
Computed X-ray diffraction stick pattern, Cu Kα, 1.54184 Å. Input: a structure optimized by DFT (PBE+U).
No peak broadening, texture or thermal motion is included.

```
20
Lattice="5.0972 0.0000 0.0000 1.6274 5.4968 0.0000 1.5080 1.0930 5.9651" Properties=species:S:1:pos:R:3 pbc="T T T"
Li 1.1971 1.8773 2.9496
Li 1.1895 0.3961 0.6193
Li 2.0813 3.1448 0.5915
Li 6.1513 3.4451 5.3735
Li 7.0431 6.1938 5.3458
Li 7.0355 4.7126 3.0155
Cr 3.6777 2.6774 4.2558
Cr 4.5549 3.9125 1.7093
Si 4.4867 5.4484 4.2671
Si 3.7459 1.1414 1.6979
O 2.1147 1.5147 4.6704
O 3.0190 4.5246 4.6578
O 3.0133 2.7472 2.3420
O 3.9116 5.6924 2.4197
O 2.9758 1.3593 0.1484
O 5.2568 5.2305 5.8167
O 4.3210 0.8974 3.5453
O 5.2193 3.8427 3.6230
O 5.2136 2.0652 1.3072
O 6.1179 5.0751 1.2946
```

Principal peaks in the range 2θ from 10° to 80°, sorted by position:
2θ (°)	I_rel
18.5	100
21.5	57
30.0	27
33.9	22
44.0	98
46.0	44
62.9	14
64.9	12
65.1	13
65.9	12



No. 5
# TiFeP2O8
Computed X-ray diffraction stick pattern, Cu Kα, 1.54184 Å. Input: a structure optimized by DFT (PBE+U).
No peak broadening, texture or thermal motion is included.

```
36
Lattice="4.3528 2.5131 6.8823 -4.3528 2.5131 6.8823 0.0000 -5.0262 6.8823" Properties=species:S:1:pos:R:3 pbc="T T T"
Ti 0.0000 0.0000 0.0000
Ti 0.0000 0.0000 4.4487
Ti 0.0000 0.0000 10.3799
Fe 0.0000 0.0000 7.3817
Fe 0.0000 0.0000 14.7946
Fe 0.0000 0.0000 17.6598
P -3.0667 0.3186 9.1220
P -1.2853 -2.2035 12.6004
P 1.2574 -2.8151 9.1220
P -1.2656 2.2148 12.6004
P 1.8093 2.4965 9.1220
P 2.5509 -0.0113 12.6004
O -3.5540 1.0707 7.8555
O -0.8420 -1.2798 5.7902
O -2.8310 -2.3773 12.3881
O -3.4133 1.1826 10.3603
O 0.8497 -3.6132 7.8555
O -1.5170 0.1762 8.9602
O -0.6874 1.3691 5.7902
O 0.6825 -3.5473 10.3603
O -0.7951 -1.4298 11.3308
O 0.6059 -1.4018 8.9602
O 1.5294 -0.0893 5.7902
O -0.9022 -1.5052 13.8684
O -0.8407 1.4035 11.3308
O -1.5856 -0.1636 16.2163
O 0.9111 1.2256 8.9602
O -0.8524 1.5339 13.8684
O 1.6358 0.0263 11.3307
O -0.6433 3.6403 12.3881
O 0.9345 -1.2914 16.2163
O 2.7043 2.5425 7.8555
O 1.7547 -0.0287 13.8684
O 3.4743 -1.2630 12.3881
O 0.6511 1.4550 16.2163
O 2.7308 2.3647 10.3603
```

Principal peaks in the range 2θ from 10° to 80°, sorted by position:
2θ (°)	I_rel
20.4	72
24.2	100
25.1	19
31.7	16
33.2	62
35.7	32
47.5	30
49.6	23
55.9	21
62.6	16



No. 6
# CaVGe2O6
Computed X-ray diffraction stick pattern, Cu Kα, 1.54184 Å. Input: a structure optimized by DFT (PBE+U).
No peak broadening, texture or thermal motion is included.

```
20
Lattice="5.1955 -4.5980 0.0000 5.1955 4.5980 0.0000 -1.3710 0.0000 5.3266" Properties=species:S:1:pos:R:3 pbc="T T T"
Ca 4.1673 2.7750 3.9949
Ca 4.8528 -2.7750 1.3316
V 4.8528 0.8053 1.3316
V 4.1673 -0.8053 3.9949
Ge 1.1494 0.9039 4.1153
Ge 1.8349 -0.9039 1.4520
Ge 7.1851 0.9039 3.8746
Ge 7.8706 -0.9039 1.2113
O 1.4389 0.3062 0.1243
O 3.3354 2.2290 1.8567
O 0.7534 -0.3062 2.7876
O 2.8395 0.8622 4.5754
O 6.3701 2.2290 0.8066
O 3.5250 -0.8622 1.9121
O 5.4950 0.8622 3.4144
O 2.6499 -2.2290 4.5200
O 6.1806 -0.8622 0.7512
O 8.2666 0.3062 2.5389
O 5.6846 -2.2290 3.4699
O 7.5811 -0.3062 5.2022
```

Principal peaks in the range 2θ from 10° to 80°, sorted by position:
2θ (°)	I_rel
25.6	26
28.3	37
28.7	85
29.4	19
33.6	100
33.8	27
42.8	19
53.6	17
54.1	19
61.1	18